Starting from a PBE-relaxed structure, the XRD peak list of BaAc3Sn3 was computed for Cu Ka.

The 6 most intense peaks (5° ≤ 2θ ≤ 70°), sorted by position:
two_theta	I (rel.)
17.31	45
21.78	35
26.39	32
30.22	100
31.74	69
40.54	47

```
BaAc3Sn3
1.0
5.123 2.958 6.754
-5.123 2.958 6.754
0.000 -5.916 6.754
Ba Ac Sn
2 6 6
Direct
0.168 0.168 0.168
0.832 0.832 0.832
0.115 0.404 0.709
0.291 0.885 0.596
0.404 0.709 0.115
0.596 0.291 0.885
0.709 0.115 0.404
0.885 0.596 0.291
0.063 0.779 0.427
0.221 0.573 0.937
0.427 0.063 0.779
0.573 0.937 0.221
0.779 0.427 0.063
0.937 0.221 0.573
```

=====

Starting from a PBE-relaxed structure, the XRD peak list of Tl2CdOF2 was computed for Cu Ka.

The 6 most intense peaks (5° ≤ 2θ ≤ 70°), sorted by position:
two_theta	I (rel.)
20.86	17
22.38	16
26.88	100
27.12	22
29.67	30
50.96	18

```
Tl2CdOF2
1.0
7.480 -3.288 0.000
7.480 3.288 0.000
0.000 0.000 6.023
Tl Cd O F
4 2 2 4
Direct
0.058 0.643 0.500
0.357 0.942 0.500
0.643 0.058 0.000
0.942 0.357 0.000
0.354 0.646 0.952
0.646 0.354 0.452
0.340 0.660 0.591
0.660 0.340 0.091
0.053 0.725 0.083
0.275 0.947 0.083
0.725 0.053 0.583
0.947 0.275 0.583
```

=====

Starting from a PBE-relaxed structure, the XRD peak list of Ca2Sm5Er4 was computed for Cu Ka.

The 6 most intense peaks (5° ≤ 2θ ≤ 70°), sorted by position:
two_theta	I (rel.)
15.37	31
29.63	43
30.45	75
30.85	71
31.18	84
35.85	100

```
Ca2Sm5Er4
1.0
6.202 -3.499 0.000
6.202 3.499 0.000
-6.065 0.000 8.697
Ca Sm Er
2 5 4
Direct
0.084 0.084 0.290
0.916 0.916 0.710
0.064 0.610 0.330
0.390 0.936 0.670
0.500 0.500 0.000
0.610 0.064 0.330
0.936 0.390 0.670
0.231 0.231 0.021
0.420 0.420 0.642
0.580 0.580 0.358
0.769 0.769 0.979
```